Entry 1:
This entry pairs a crystal structure of Pa3Ge2Ru with its computed powder diffractogram. Radiation: CuKα. Structure: the PBE geometry in Alexandria.
Neutral-atom scattering factors, no anomalous dispersion.

Top 10 peaks for 10° ≤ 2θ ≤ 80°, in order of falling intensity:
Position (°2θ)	I_rel
33.04	1000
27.76	713
35.59	588
44.55	408
38.30	386
34.24	320
31.25	320
64.44	259
36.20	252
23.79	212

Structure:
Cell lengths 11.941, 4.068, 10.912 Å; angles 90.00, 90.00, 90.00 degrees
Element x y z (fractional)
Pa1 0.047 0.250 0.120
Pa2 0.130 0.750 0.560
Pa3 0.232 0.250 0.779
Pa4 0.268 0.750 0.279
Pa5 0.370 0.250 0.060
Pa6 0.453 0.750 0.620
Pa7 0.547 0.250 0.380
Pa8 0.630 0.750 0.940
Pa9 0.732 0.250 0.721
Pa10 0.768 0.750 0.221
Pa11 0.870 0.250 0.440
Pa12 0.953 0.750 0.880
Ge1 0.005 0.750 0.305
Ge2 0.187 0.750 0.998
Ge3 0.313 0.250 0.498
Ge4 0.495 0.250 0.805
Ge5 0.505 0.750 0.195
Ge6 0.687 0.750 0.502
Ge7 0.813 0.250 0.002
Ge8 0.995 0.250 0.695
Ru1 0.127 0.250 0.374
Ru2 0.373 0.750 0.874
Ru3 0.627 0.250 0.126
Ru4 0.873 0.750 0.626



Entry 2:
This entry pairs a crystal structure of PmPr5Nd2Y with its computed powder diffractogram. Radiation: CuKα. Structure: the PBE geometry in Alexandria.
Neutral-atom scattering factors, no anomalous dispersion.

Top 10 peaks for 10° ≤ 2θ ≤ 80°, in order of falling intensity:
Position (°2θ)	I_rel
29.69	1000
27.77	521
28.38	518
51.07	237
31.81	182
36.84	180
57.42	131
44.34	124
53.48	124
35.55	113

Structure:
Cell lengths 10.313, 10.313, 10.313 Å; angles 128.90, 128.90, 75.17 degrees
Element x y z (fractional)
Pm1 0.250 0.250 0.000
Pm2 0.750 0.750 0.000
Pr1 0.000 0.000 0.000
Pr2 0.073 0.573 0.927
Pr3 0.146 0.073 0.500
Pr4 0.354 0.854 0.927
Pr5 0.427 0.354 0.500
Pr6 0.500 0.500 0.000
Pr7 0.573 0.646 0.500
Pr8 0.646 0.146 0.073
Pr9 0.854 0.927 0.500
Pr10 0.927 0.427 0.073
Nd1 0.118 0.382 0.500
Nd2 0.382 0.882 0.264
Nd3 0.618 0.118 0.736
Nd4 0.882 0.618 0.500
Y1 0.250 0.750 0.500
Y2 0.750 0.250 0.500



Entry 3:
This entry pairs a crystal structure of Sc2TlCoC with its computed powder diffractogram. Radiation: CuKα. Structure: the PBE geometry in Alexandria.
Neutral-atom scattering factors, no anomalous dispersion.

Top 10 peaks for 10° ≤ 2θ ≤ 80°, in order of falling intensity:
Position (°2θ)	I_rel
36.19	1000
38.76	464
19.10	312
27.14	302
68.50	298
30.45	296
63.34	267
56.00	238
23.48	160
50.07	153

Structure:
Cell lengths 4.646, 4.646, 3.788 Å; angles 90.00, 90.00, 90.00 degrees
Element x y z (fractional)
Sc1 0.000 0.500 0.000
Sc2 0.500 0.000 0.000
Tl1 0.000 0.000 0.500
Co1 0.500 0.500 0.500
C1 0.500 0.500 0.000



Entry 4:
This entry pairs a crystal structure of Zr2TiH8 with its computed powder diffractogram. Radiation: CuKα. Structure: the PBE geometry in Alexandria.
Neutral-atom scattering factors, no anomalous dispersion.

Top 10 peaks for 10° ≤ 2θ ≤ 80°, in order of falling intensity:
Position (°2θ)	I_rel
33.42	1000
37.47	744
31.41	594
31.28	581
37.80	330
66.24	250
54.36	243
54.19	235
20.40	169
51.24	162

Structure:
Cell lengths 6.067, 6.067, 4.760 Å; angles 112.86, 112.86, 31.03 degrees
Element x y z (fractional)
Zr1 0.163 0.163 0.148
Zr2 0.837 0.837 0.852
Ti1 0.500 0.500 0.500
H1 0.007 0.007 0.280
H2 0.220 0.220 0.808
H3 0.339 0.339 0.561
H4 0.414 0.414 0.080
H5 0.586 0.586 0.920
H6 0.661 0.661 0.439
H7 0.780 0.780 0.192
H8 0.993 0.993 0.720



Entry 5:
This entry pairs a crystal structure of Ac2Zn3Cu5 with its computed powder diffractogram. Radiation: CuKα. Structure: the PBE geometry in Alexandria.
Neutral-atom scattering factors, no anomalous dispersion.

Top 10 peaks for 10° ≤ 2θ ≤ 80°, in order of falling intensity:
Position (°2θ)	I_rel
33.56	1000
41.40	693
34.25	658
33.81	605
22.19	427
49.61	275
54.61	251
54.01	248
28.70	214
29.20	186

Structure:
Cell lengths 8.586, 8.586, 8.586 Å; angles 107.70, 87.12, 138.26 degrees
Element x y z (fractional)
Ac1 0.127 0.236 0.363
Ac2 0.373 0.736 0.109
Ac3 0.627 0.264 0.891
Ac4 0.873 0.764 0.637
Zn1 0.136 0.896 0.032
Zn2 0.250 0.750 0.500
Zn3 0.364 0.396 0.759
Zn4 0.636 0.604 0.241
Zn5 0.750 0.250 0.500
Zn6 0.864 0.104 0.968
Cu1 0.027 0.750 0.277
Cu2 0.117 0.645 0.761
Cu3 0.250 0.250 0.000
Cu4 0.383 0.145 0.528
Cu5 0.473 0.750 0.723
Cu6 0.527 0.250 0.277
Cu7 0.617 0.855 0.472
Cu8 0.750 0.750 0.000
Cu9 0.883 0.355 0.239
Cu10 0.973 0.250 0.723



Entry 6:
This entry pairs a crystal structure of Rb2Np3PbS8 with its computed powder diffractogram. Radiation: CuKα. Structure: the PBE geometry in Alexandria.
Neutral-atom scattering factors, no anomalous dispersion.

Top 10 peaks for 10° ≤ 2θ ≤ 80°, in order of falling intensity:
Position (°2θ)	I_rel
11.11	1000
25.55	828
24.57	752
22.48	540
44.54	539
39.55	533
29.43	520
19.48	506
36.65	483
26.37	391

Structure:
Cell lengths 9.248, 9.248, 9.248 Å; angles 52.20, 52.20, 52.20 degrees
Element x y z (fractional)
Rb1 0.000 0.000 0.000
Rb2 0.362 0.362 0.362
Np1 0.000 0.000 0.494
Np2 0.000 0.494 0.000
Np3 0.494 0.000 0.000
Pb1 0.607 0.607 0.607
S1 0.209 0.735 0.735
S2 0.225 0.225 0.225
S3 0.257 0.257 0.806
S4 0.257 0.806 0.257
S5 0.735 0.209 0.735
S6 0.735 0.735 0.209
S7 0.775 0.775 0.775
S8 0.806 0.257 0.257